NaUO4: calculated X-ray diffraction stick pattern (Cu Ka), based on a crystal structure in the Materials Project, relaxed with GGA-PBE.

Largest 8 diffraction maxima, most intense first, 2θ from 5° to 70°:
2theta  I_rel  index
14.76  1000  0 0 3
27.65  834  0 1 2
26.26  708  1 0 1
32.67  374  1 0 4
45.46  362  1 1 0
48.05  313  1 1 3
55.29  284  1 1 6
29.78  265  0 0 6

Cell and atoms:
Lattice parameters (Å, degrees): 3.9908 3.9908 18.0029 90.00 90.00 120.00
Space group R-3m (No. 166, hexagonal axes)
Asymmetric unit:
Na: 0.0000 0.0000 0.0000 [3 per cell]
U: 0.0000 0.0000 0.5000 [3 per cell]
O: 0.0000 0.0000 0.1629 [6 per cell]
O: 0.0000 0.0000 0.3955 [6 per cell]